This entry pairs a crystal structure of Nb2Br5 with its simulated powder diffraction line list. Radiation: Cu Kα. Structure: a structure optimized by DFT (PBE).

The 12 most intense peaks (2θ = 10–90°), most intense first:
(0 2 0), 2θ 11.51, I 100; (1 1 0), 2θ 10.15, I 96; (3 3 1), 2θ 34.22, I 33; (3 1 1), 2θ 29.88, I 30; (0 4 2), 2θ 37.81, I 27; (1 3 2), 2θ 35.45, I 20; (0 4 1), 2θ 27.48, I 19; (1 7 0), 2θ 41.96, I 18; (3 3 2), 2θ 43.14, I 17; (3 1 2), 2θ 39.65, I 16; (3 7 0), 2θ 48.86, I 15; (2 0 0), 2θ 16.76, I 12

Structural model:
```
data_Nb2Br5
_cell_length_a 10.5819
_cell_length_b 15.3758
_cell_length_c 6.0598
_cell_angle_alpha 90.00
_cell_angle_beta 90.00
_cell_angle_gamma 90.00
_symmetry_space_group_name_H-M 'C m c m'
_symmetry_Int_Tables_number 63
_symmetry_space_group_name_Hall '-C 2c 2'
loop_
_atom_site_label
_atom_site_fract_x
_atom_site_fract_y
_atom_site_fract_z
_atom_site_occupancy
Nb1 0.1354 0.0000 0.0000 1
Br1 0.0000 0.1124 0.2500 1
Br2 0.1790 0.1390 0.7500 1
Br3 0.1807 0.4318 0.7500 1
```


This entry pairs a crystal structure of Nb3Br8 with its simulated powder diffraction line list. Radiation: Cu Kα. Structure: a structure optimized by DFT (PBE).

The 12 most intense peaks (2θ = 10–90°), most intense first:
(0 2 7), 2θ 32.39, I 100; (0 0 6), 2θ 12.57, I 84; (2 2 0), 2θ 50.87, I 35; (2 0 17), 2θ 46.81, I 34; (2 0 5), 2θ 30.64, I 28; (0 2 10), 2θ 35.86, I 27; (0 2 13), 2θ 40.14, I 23; (1 0 1), 2θ 14.40, I 23; (0 2 4), 2θ 29.96, I 17; (2 1 10), 2θ 44.12, I 15; (2 2 12), 2θ 57.65, I 14; (0 0 12), 2θ 25.30, I 12

Structural model:
```
data_Nb3Br8
_cell_length_a 7.1801
_cell_length_b 7.1801
_cell_length_c 42.2373
_cell_angle_alpha 90.00
_cell_angle_beta 90.00
_cell_angle_gamma 120.00
_symmetry_space_group_name_H-M 'R -3 m'
_symmetry_Int_Tables_number 166
_symmetry_space_group_name_Hall '-R 3 2"'
loop_
_atom_site_label
_atom_site_fract_x
_atom_site_fract_y
_atom_site_fract_z
_atom_site_occupancy
Nb1 0.0640 0.5320 0.0826 1
Br1 0.0000 0.0000 0.2175 1
Br2 0.0000 0.0000 0.3689 1
Br3 0.0030 0.5015 0.6183 1
Br4 0.0045 0.5022 0.2089 1
```


This entry pairs a crystal structure of NbTe7Br5O with its simulated powder diffraction line list. Radiation: Cu Kα. Structure: a structure optimized by DFT (PBE).

The 12 most intense peaks (2θ = 10–90°), most intense first:
(6 2 0), 2θ 28.68, I 100; (0 1 2), 2θ 24.03, I 74; (8 2 0), 2θ 33.72, I 46; (2 0 2), 2θ 22.65, I 45; (7 1 1), 2θ 27.55, I 43; (0 3 2), 2θ 38.30, I 40; (6 1 2), 2θ 31.27, I 35; (1 1 3), 2θ 34.57, I 31; (1 1 1), 2θ 15.27, I 31; (14 0 0), 2θ 47.07, I 29; (4 0 2), 2θ 25.39, I 28; (0 4 0), 2θ 41.96, I 24

Structural model:
```
data_NbTe7Br5O
_cell_length_a 27.0227
_cell_length_b 8.6134
_cell_length_c 8.2045
_cell_angle_alpha 90.00
_cell_angle_beta 90.00
_cell_angle_gamma 90.00
_symmetry_space_group_name_H-M 'P c c a'
_symmetry_Int_Tables_number 54
loop_
_symmetry_equiv_pos_as_xyz
'x,y,z'
'-x,-y,-z'
'-x+1/2,-y,z'
'x+1/2,y,-z'
'x+1/2,-y,-z+1/2'
'-x+1/2,y,z+1/2'
'-x,y,-z+1/2'
'x,-y,z+1/2'
loop_
_atom_site_label
_atom_site_fract_x
_atom_site_fract_y
_atom_site_fract_z
_atom_site_occupancy
Nb1 0.2500 0.0000 0.2154 1
Te1 0.0000 0.5000 0.0000 1
Te2 0.0746 0.2522 0.4381 1
Te3 0.0785 0.2679 0.0829 1
Te4 0.1423 0.4837 0.5277 1
Br1 0.0000 0.0070 0.7500 1
Br2 0.1581 0.0666 0.7547 1
Br3 0.2286 0.2903 0.2519 1
O1 0.2500 0.0000 0.4981 1
```


This entry pairs a crystal structure of Rb2Nb3Br9 with its simulated powder diffraction line list. Radiation: Cu Kα. Structure: a structure optimized by DFT (PBE).

The 12 most intense peaks (2θ = 10–90°), most intense first:
(1 1 0), 2θ 10.06, I 100; (1 1 -1), 2θ 10.81, I 84; (2 4 -5), 2θ 47.82, I 77; (2 4 1), 2θ 30.78, I 70; (1 5 2), 2θ 34.79, I 62; (4 0 -4), 2θ 39.22, I 48; (0 0 3), 2θ 28.35, I 47; (2 4 -2), 2θ 27.76, I 42; (3 1 -3), 2θ 29.59, I 38; (2 6 2), 2θ 43.63, I 31; (3 3 -3), 2θ 32.83, I 29; (0 0 2), 2θ 18.77, I 27

Structural model:
```
data_Rb2Nb3Br9
_cell_length_a 11.2076
_cell_length_b 17.9999
_cell_length_c 10.5088
_cell_angle_alpha 90.00
_cell_angle_beta 116.03
_cell_angle_gamma 90.00
_symmetry_space_group_name_H-M 'C 1 2/m 1'
_symmetry_Int_Tables_number 12
loop_
_symmetry_equiv_pos_as_xyz
'x,y,z'
'-x,-y,-z'
'-x,y,-z'
'x,-y,z'
'x+1/2,y+1/2,z'
'-x+1/2,-y+1/2,-z'
'-x+1/2,y+1/2,-z'
'x+1/2,-y+1/2,z'
loop_
_atom_site_label
_atom_site_fract_x
_atom_site_fract_y
_atom_site_fract_z
_atom_site_occupancy
Rb1 0.1075 0.1598 0.3257 1
Nb1 0.1089 0.5000 0.8786 1
Nb2 0.1259 0.4172 0.1326 1
Br1 0.0000 0.2973 0.0000 1
Br2 0.0217 0.3987 0.3098 1
Br3 0.1900 0.0000 0.6746 1
Br4 0.1987 0.1952 0.6844 1
Br5 0.2128 0.1015 0.9858 1
Br6 0.2444 0.0000 0.2831 1
```


This entry pairs a crystal structure of Rb3Nb2Br9 with its simulated powder diffraction line list. Radiation: Cu Kα. Structure: a structure optimized by DFT (PBE).

The 12 most intense peaks (2θ = 10–90°), most intense first:
(2 0 3), 2θ 30.05, I 100; (2 0 4), 2θ 32.79, I 68; (2 0 2), 2θ 27.95, I 64; (2 2 0), 2θ 46.15, I 63; (1 0 1), 2θ 13.87, I 53; (0 0 6), 2θ 29.32, I 29; (2 2 6), 2θ 55.62, I 26; (2 0 7), 2θ 43.68, I 24; (2 0 8), 2θ 47.94, I 19; (2 0 5), 2θ 36.04, I 18; (1 0 5), 2θ 27.69, I 18; (2 0 10), 2θ 57.19, I 17

Structural model:
```
data_Rb3Nb2Br9
_cell_length_a 7.8677
_cell_length_b 7.8677
_cell_length_c 18.2781
_cell_angle_alpha 90.00
_cell_angle_beta 90.00
_cell_angle_gamma 120.00
_symmetry_space_group_name_H-M 'P 63/m m c'
_symmetry_Int_Tables_number 194
_symmetry_space_group_name_Hall '-P 6c 2c'
loop_
_atom_site_label
_atom_site_fract_x
_atom_site_fract_y
_atom_site_fract_z
_atom_site_occupancy
Rb1 0.0000 0.0000 0.2500 1
Rb2 0.3333 0.6667 0.0671 1
Nb1 0.3333 0.6667 0.6756 1
Br1 0.0087 0.5044 0.2500 1
Br2 0.1747 0.3494 0.5940 1
```


This entry pairs a crystal structure of NbSBr with its simulated powder diffraction line list. Radiation: Cu Kα. Structure: a structure optimized by DFT (PBE).

The 12 most intense peaks (2θ = 10–90°), most intense first:
(4 0 0), 2θ 34.52, I 100; (1 1 1), 2θ 14.76, I 75; (4 4 0), 2θ 49.62, I 59; (3 1 1), 2θ 28.48, I 42; (3 3 1), 2θ 37.73, I 38; (3 3 3), 2θ 45.34, I 28; (4 2 2), 2θ 42.61, I 21; (4 4 4), 2θ 61.85, I 17; (8 4 0), 2θ 83.12, I 16; (7 3 1), 2θ 69.46, I 15; (5 5 1), 2θ 63.97, I 14; (8 2 2), 2θ 78.01, I 11

Structural model:
```
data_NbSBr
_cell_length_a 10.3937
_cell_length_b 10.3937
_cell_length_c 10.3937
_cell_angle_alpha 90.00
_cell_angle_beta 90.00
_cell_angle_gamma 90.00
_symmetry_space_group_name_H-M 'F -4 3 m'
_symmetry_Int_Tables_number 216
_symmetry_space_group_name_Hall 'F -4 2 3'
loop_
_atom_site_label
_atom_site_fract_x
_atom_site_fract_y
_atom_site_fract_z
_atom_site_occupancy
Nb1 0.1010 0.1010 0.3990 1
S1 0.1288 0.1288 0.6288 1
Br1 0.1281 0.1281 0.1281 1
```


This entry pairs a crystal structure of Nb6Tl3SBr17 with its simulated powder diffraction line list. Radiation: Cu Kα. Structure: a structure optimized by DFT (PBE).

The 12 most intense peaks (2θ = 10–90°), most intense first:
(1 3 -3), 2θ 30.22, I 100; (2 6 1), 2θ 28.08, I 92; (5 3 -1), 2θ 28.43, I 81; (4 0 2), 2θ 30.03, I 55; (1 5 -1), 2θ 22.05, I 44; (2 2 1), 2θ 16.85, I 42; (3 7 0), 2θ 31.79, I 42; (3 9 -2), 2θ 42.53, I 41; (1 3 4), 2θ 40.89, I 38; (0 4 0), 2θ 15.73, I 36; (4 6 2), 2θ 38.61, I 33; (7 3 0), 2θ 38.15, I 31

Structural model:
```
data_Nb6Tl3SBr17
_cell_length_a 17.6319
_cell_length_b 22.5427
_cell_length_c 9.6548
_cell_angle_alpha 90.00
_cell_angle_beta 99.49
_cell_angle_gamma 90.00
_symmetry_space_group_name_H-M 'C 1 2/c 1'
_symmetry_Int_Tables_number 15
loop_
_symmetry_equiv_pos_as_xyz
'x,y,z'
'-x,-y,-z'
'-x,y,-z+1/2'
'x,-y,z+1/2'
'x+1/2,y+1/2,z'
'-x+1/2,-y+1/2,-z'
'-x+1/2,y+1/2,-z+1/2'
'x+1/2,-y+1/2,z+1/2'
loop_
_atom_site_label
_atom_site_fract_x
_atom_site_fract_y
_atom_site_fract_z
_atom_site_occupancy
Nb1 0.0050 0.1611 0.0256 1
Nb2 0.0756 0.3309 0.3806 1
Nb3 0.1863 0.3773 0.5018 1
Tl1 0.0000 0.4516 0.7500 1
Tl2 0.1758 0.0755 0.8601 1
S1 0.0000 0.1934 0.2500 1
Br1 0.0000 0.1130 0.7500 1
Br2 0.0537 0.3895 0.1155 1
Br3 0.0710 0.2584 0.5898 1
Br4 0.0742 0.0637 0.1031 1
Br5 0.1287 0.2105 0.9810 1
Br6 0.1299 0.1088 0.5015 1
Br7 0.1713 0.4840 0.4262 1
Br8 0.1838 0.3728 0.7627 1
Br9 0.2090 0.2977 0.3167 1
```


This entry pairs a crystal structure of Nb2Tl5S4Br9 with its simulated powder diffraction line list. Radiation: Cu Kα. Structure: a structure optimized by DFT (PBE).

The 12 most intense peaks (2θ = 10–90°), most intense first:
(2 2 2), 2θ 31.53, I 100; (1 0 3), 2θ 20.27, I 94; (0 2 4), 2θ 27.86, I 83; (2 0 0), 2θ 23.89, I 64; (0 3 3), 2θ 30.63, I 60; (2 2 0), 2θ 29.51, I 54; (2 1 5), 2θ 37.72, I 53; (1 2 1), 2θ 21.56, I 48; (0 4 0), 2θ 34.53, I 48; (2 0 4), 2θ 32.60, I 37; (4 0 0), 2θ 48.90, I 30; (2 2 4), 2θ 37.02, I 28

Structural model:
```
data_Nb2Tl5S4Br9
_cell_length_a 7.4503
_cell_length_b 10.3911
_cell_length_c 16.2684
_cell_angle_alpha 90.00
_cell_angle_beta 90.00
_cell_angle_gamma 90.00
_symmetry_space_group_name_H-M 'I m m m'
_symmetry_Int_Tables_number 71
_symmetry_space_group_name_Hall '-I 2 2'
loop_
_atom_site_label
_atom_site_fract_x
_atom_site_fract_y
_atom_site_fract_z
_atom_site_occupancy
Nb1 0.0000 0.0000 0.0895 1
Tl1 0.0000 0.2177 0.3344 1
Tl2 0.0000 0.5000 0.0000 1
S1 0.2392 0.0971 0.0000 1
Br1 0.0000 0.0000 0.5000 1
Br2 0.0000 0.2608 0.1338 1
Br3 0.2452 0.0000 0.2125 1
```